Starting from a cell relaxed with PBE+U, the X-ray powder pattern of NiHg3Pd3O8 was simulated for λ = 1.5418 Å (Cu Kα).

Atomic structure:
Lattice parameters (Å, degrees): 10.6419 6.0929 7.3059 90.00 110.77 90.00
Space group C2/m (No. 12)
One atom of each set of equivalent atoms:
1 Ni 0.0000 0.0000 0.0000 [2 per cell]
2 Hg 0.0000 0.0000 0.5000 [2 per cell]
3 Hg 0.2500 0.2500 0.5000 [4 per cell]
4 Pd 0.0000 0.5000 0.0000 [2 per cell]
5 Pd 0.2500 0.2500 0.0000 [4 per cell]
6 O 0.0477 0.2494 0.8486 [8 per cell]
7 O 0.2020 0.5000 0.1499 [4 per cell]
8 O 0.2066 0.0000 0.1550 [4 per cell]

Main lines, in order of rising 2θ (2θ from 10° to 80°):
d (Å)	I (rel.)	h k l
4.563	26.4	1 1 -1
3.416	100.0	0 0 2
2.598	89.5	2 2 0
2.488	52.6	4 0 0
2.470	35.1	4 0 -2
2.281	94.7	2 2 -2
1.905	40.7	2 2 2
1.522	26.1	6 2 -2